Starting from a GGA-PBE-relaxed structure, the powder diffraction line list of PrAl10Ru2 was computed for Cu Kα.
No peak broadening, texture or thermal motion is included.

Most intense lines, 10 to 90 degrees two-theta, low angle first:
2θ (°)  d_spacing  Rel. int.
17.24  5.142  38.5
26.02  3.424  35.0
27.48  3.245  54.1
27.84  3.205  28.1
34.02  2.635  28.6
39.12  2.302  32.6
39.43  2.285  73.4
40.20  2.243  100.0

Crystal structure
```
PrAl10Ru2
1.0
4.574 -5.142 0.000
4.574 5.142 0.000
0.000 0.000 9.210
Pr Al Ru
2 20 4
direct
0.124 0.876 0.750
0.876 0.124 0.250
0.139 0.411 0.750
0.161 0.839 0.101
0.161 0.839 0.399
0.221 0.483 0.250
0.228 0.228 0.000
0.228 0.228 0.500
0.378 0.622 0.550
0.378 0.622 0.950
0.411 0.139 0.250
0.483 0.221 0.750
0.517 0.779 0.250
0.589 0.861 0.750
0.622 0.378 0.050
0.622 0.378 0.450
0.772 0.772 0.000
0.772 0.772 0.500
0.779 0.517 0.750
0.839 0.161 0.601
0.839 0.161 0.899
0.861 0.589 0.250
0.000 0.500 0.000
0.000 0.500 0.500
0.500 0.000 0.000
0.500 0.000 0.500
```

Starting from a GGA-PBE-relaxed structure, the powder diffraction line list of SO3 was computed for Cu Kα.
No peak broadening, texture or thermal motion is included.

Most intense lines, 10 to 90 degrees two-theta, low angle first:
2θ (°)  d_spacing  Rel. int.
13.71  6.461  19.7
15.60  5.681  24.1
15.78  5.616  15.6
17.50  5.067  10.7
19.18  4.628  100.0
22.48  3.955  22.4
25.96  3.432  14.7
27.29  3.267  10.7

Crystal structure
```
SO3
1.0
11.362 0.000 0.000
0.000 12.921 0.000
0.000 0.000 5.508
S O
12 36
direct
0.134 0.081 0.000
0.143 0.647 0.298
0.196 0.428 0.340
0.304 0.928 0.840
0.357 0.147 0.798
0.366 0.581 0.500
0.634 0.419 0.000
0.643 0.853 0.298
0.696 0.072 0.340
0.804 0.572 0.840
0.857 0.353 0.798
0.866 0.919 0.500
0.016 0.100 0.930
0.088 0.649 0.528
0.115 0.711 0.098
0.141 0.527 0.187
0.143 0.421 0.572
0.167 0.970 0.867
0.176 0.083 0.242
0.203 0.347 0.168
0.212 0.159 0.827
0.288 0.659 0.327
0.297 0.847 0.668
0.324 0.583 0.742
0.333 0.470 0.367
0.357 0.921 0.072
0.359 0.027 0.687
0.385 0.211 0.598
0.412 0.149 0.028
0.484 0.600 0.430
0.516 0.400 0.930
0.588 0.851 0.528
0.615 0.789 0.098
0.641 0.973 0.187
0.643 0.079 0.572
0.667 0.530 0.867
0.676 0.417 0.242
0.703 0.153 0.168
0.712 0.341 0.827
0.788 0.841 0.327
0.797 0.653 0.668
0.824 0.917 0.742
0.833 0.030 0.367
0.857 0.579 0.072
0.859 0.473 0.687
0.885 0.289 0.598
0.912 0.351 0.028
0.984 0.900 0.430
```

Starting from a GGA-PBE-relaxed structure, the powder diffraction line list of Ba6MgNb2IrCl2O12 was computed for Cu Kα.
No peak broadening, texture or thermal motion is included.

Most intense lines, 10 to 90 degrees two-theta, low angle first:
2θ (°)  d_spacing  Rel. int.
17.71  5.007  20.5
18.37  4.831  24.7
23.61  3.769  30.0
29.24  3.054  100.0
29.64  3.014  33.4
30.14  2.966  65.7
32.84  2.728  24.4
39.84  2.262  25.4

Crystal structure
```
Ba6MgNb2IrCl2O12
1.0
5.383 -2.966 0.000
5.383 2.966 0.000
-1.904 0.000 15.457
Ba Mg Nb Ir Cl O
6 1 2 1 2 12
direct
0.000 0.000 0.000
0.004 0.004 0.586
0.063 0.063 0.247
0.621 0.621 0.453
0.644 0.644 0.857
0.706 0.706 0.130
0.873 0.873 0.376
0.313 0.313 0.392
0.348 0.348 0.031
0.353 0.353 0.217
0.004 0.004 0.796
0.641 0.641 0.652
0.021 0.522 0.968
0.024 0.543 0.294
0.127 0.648 0.468
0.146 0.146 0.434
0.194 0.655 0.134
0.201 0.201 0.115
0.489 0.489 0.318
0.508 0.508 0.985
0.522 0.021 0.968
0.543 0.024 0.294
0.648 0.127 0.468
0.655 0.194 0.134
```

Starting from a GGA-PBE-relaxed structure, the powder diffraction line list of SnAs was computed for Cu Kα.
No peak broadening, texture or thermal motion is included.

Most intense lines, 10 to 90 degrees two-theta, low angle first:
2θ (°)  d_spacing  Rel. int.
26.58  3.354  9.0
30.78  2.905  100.0
44.09  2.054  75.2
52.22  1.752  5.0
54.74  1.677  26.6
64.12  1.452  12.5
72.81  1.299  35.0
81.10  1.186  26.7

Crystal structure
```
SnAs
1.0
5.809 0.000 0.000
0.000 5.809 0.000
0.000 0.000 5.809
Sn As
4 4
direct
0.000 0.000 0.000
0.000 0.500 0.500
0.500 0.000 0.500
0.500 0.500 0.000
0.000 0.000 0.500
0.000 0.500 0.000
0.500 0.000 0.000
0.500 0.500 0.500
```

Starting from a GGA-PBE-relaxed structure, the powder diffraction line list of GdInPt4 was computed for Cu Kα.
No peak broadening, texture or thermal motion is included.

Most intense lines, 10 to 90 degrees two-theta, low angle first:
2θ (°)  d_spacing  Rel. int.
20.02  4.434  19.4
32.99  2.715  17.4
38.89  2.316  100.0
40.69  2.217  52.3
62.87  1.478  32.8
69.19  1.358  30.2
82.32  1.171  11.7
83.49  1.158  20.5

Crystal structure
```
GdInPt4
1.0
0.000 3.840 3.840
3.840 0.000 3.840
3.840 3.840 0.000
Gd In Pt
1 1 4
direct
0.000 0.000 0.000
0.750 0.750 0.750
0.375 0.375 0.375
0.375 0.375 0.874
0.375 0.874 0.375
0.874 0.375 0.375
```

Starting from a GGA-PBE-relaxed structure, the powder diffraction line list of Li3InF6 was computed for Cu Kα.
No peak broadening, texture or thermal motion is included.

Most intense lines, 10 to 90 degrees two-theta, low angle first:
2θ (°)  d_spacing  Rel. int.
18.99  4.673  90.1
21.96  4.047  100.0
31.25  2.862  29.5
36.83  2.441  57.2
44.79  2.024  37.7
49.06  1.857  27.1
50.42  1.810  38.3
65.20  1.431  20.8

Crystal structure
```
Li3InF6
1.0
0.000 4.047 4.047
4.047 0.000 4.047
4.047 4.047 0.000
Li In F
3 1 6
direct
0.000 0.000 0.000
0.250 0.250 0.250
0.750 0.750 0.750
0.500 0.500 0.500
0.244 0.244 0.756
0.244 0.756 0.244
0.244 0.756 0.756
0.756 0.244 0.244
0.756 0.244 0.756
0.756 0.756 0.244
```

Starting from a GGA-PBE-relaxed structure, the powder diffraction line list of Hf3Mg was computed for Cu Kα.
No peak broadening, texture or thermal motion is included.

Most intense lines, 10 to 90 degrees two-theta, low angle first:
2θ (°)  d_spacing  Rel. int.
23.90  3.723  24.0
32.92  2.721  23.6
35.16  2.552  26.4
37.45  2.401  100.0
48.93  1.862  15.7
58.77  1.571  18.2
64.60  1.443  20.5
70.37  1.338  21.2

Crystal structure
```
Hf3Mg
1.0
6.284 0.000 0.000
-3.142 5.442 0.000
0.000 0.000 5.104
Hf Mg
6 2
direct
0.168 0.336 0.250
0.168 0.832 0.250
0.336 0.168 0.750
0.664 0.832 0.250
0.832 0.168 0.750
0.832 0.664 0.750
0.333 0.667 0.750
0.667 0.333 0.250
```

Starting from a GGA-PBE-relaxed structure, the powder diffraction line list of SmB2Ru2 was computed for Cu Kα.
No peak broadening, texture or thermal motion is included.

Most intense lines, 10 to 90 degrees two-theta, low angle first:
2θ (°)  d_spacing  Rel. int.
26.61  3.349  17.1
31.85  2.810  99.0
32.69  2.739  16.5
33.68  2.661  100.0
39.71  2.270  33.6
42.77  2.114  49.5
51.01  1.790  26.2
59.08  1.564  18.7

Crystal structure
```
SmB2Ru2
1.0
0.000 4.539 4.963
3.285 0.000 4.963
3.285 4.539 0.000
Sm B Ru
2 4 4
direct
0.125 0.125 0.125
0.875 0.875 0.875
0.190 0.560 0.190
0.440 0.810 0.440
0.560 0.190 0.560
0.810 0.440 0.810
0.238 0.238 0.512
0.488 0.488 0.762
0.512 0.512 0.238
0.762 0.762 0.488
```